Diffraction record for SiO2. The powder diffraction line list is calculated, not measured: it uses the PBE geometry in the Materials Project and Cu Kα X-rays.
Neutral-atom scattering factors, no anomalous dispersion.

Structure:
```
SiO2
1.0
-6.9577 6.9577 3.2446
6.9577 -6.9577 3.2446
6.9577 6.9577 -3.2446
Si O
10 20
Direct
0.1205 0.5051 0.6154 Si
0.1250 0.8750 0.2500 Si
0.3897 0.5051 0.8846 Si
0.4949 0.6103 0.6154 Si
0.4949 0.8795 0.8846 Si
0.5051 0.1205 0.1154 Si
0.5051 0.3897 0.3846 Si
0.6103 0.4949 0.1154 Si
0.8750 0.1250 0.7500 Si
0.8795 0.4949 0.3846 Si
0.0000 0.5000 0.5000 O
0.0776 0.7317 0.3459 O
0.1143 0.2683 0.8459 O
0.2683 0.1143 0.3459 O
0.2683 0.9224 0.1541 O
0.2790 0.5290 0.5580 O
0.2790 0.7210 0.7500 O
0.4710 0.5290 0.7500 O
0.4710 0.7210 0.9420 O
0.5000 0.0000 0.0000 O
0.5000 0.5000 0.0000 O
0.5000 0.5000 0.5000 O
0.5290 0.2790 0.0580 O
0.5290 0.4710 0.2500 O
0.7210 0.2790 0.2500 O
0.7210 0.4710 0.4420 O
0.7317 0.0776 0.8459 O
0.7317 0.8857 0.6541 O
0.8857 0.7317 0.1541 O
0.9224 0.2683 0.6541 O
```

Top 10 peaks for 2θ from 10° to 80°, by angle:
- 2θ 12.72, d 6.958, I = 100
- 2θ 15.06, d 5.881, I = 30
- 2θ 19.77, d 4.492, I = 19
- 2θ 23.58, d 3.774, I = 5
- 2θ 26.88, d 3.317, I = 4
- 2θ 28.69, d 3.112, I = 5
- 2θ 28.98, d 3.081, I = 5
- 2θ 29.84, d 2.994, I = 28
- 2θ 30.40, d 2.941, I = 6
- 2θ 41.87, d 2.158, I = 4